# 1
Theoretical PXRD pattern of Ni2Os for copper Kα, from the GGA-PBE geometry in Alexandria.
No peak broadening, texture or thermal motion is included.

Most intense lines, 2θ from 10° to 80°, in order of rising 2θ:
hkl 1 1 0, 2θ = 24.01°, I = 34; hkl 2 0 0, 2θ = 26.95°, I = 20; hkl 1 1 -1, 2θ = 27.17°, I = 13; hkl 0 2 0, 2θ = 40.30°, I = 10; hkl 3 1 -1, 2θ = 40.63°, I = 26; hkl 0 0 2, 2θ = 43.00°, I = 47; hkl 0 2 1, 2θ = 45.90°, I = 100; hkl 3 1 -2, 2θ = 46.58°, I = 46; hkl 3 1 1, 2θ = 60.03°, I = 12; hkl 3 3 -1, 2θ = 73.49°, I = 15

Structure:
```
data_Ni2Os
_chemical_formula_sum 'Ni8 Os4'
_symmetry_space_group_name_H-M 'C 1 2/c 1'
_symmetry_Int_Tables_number 15
_cell_length_a 7.6744
_cell_length_b 4.4758
_cell_length_c 4.8793
_cell_angle_alpha 90.00
_cell_angle_beta 120.45
_cell_angle_gamma 90.00
loop_
_symmetry_equiv_pos_as_xyz
'x,y,z'
'-x,-y,-z'
'-x,y,-z+1/2'
'x,-y,z+1/2'
'x+1/2,y+1/2,z'
'-x+1/2,-y+1/2,-z'
'-x+1/2,y+1/2,-z+1/2'
'x+1/2,-y+1/2,z+1/2'
loop_
_atom_site_label
_atom_site_fract_x
_atom_site_fract_y
_atom_site_fract_z
Ni1 0.1662 0.0801 0.2539
Os1 0.0000 0.4068 0.7500
```

---

# 2
Theoretical PXRD pattern of HfNb5Ga2 for copper Kα, from the GGA-PBE geometry in Alexandria.
No peak broadening, texture or thermal motion is included.

Most intense lines, 2θ from 10° to 80°, in order of rising 2θ:
hkl 0 2 2, 2θ = 27.02°, I = 22; hkl 0 3 1, 2θ = 32.40°, I = 28; hkl 1 2 1, 2θ = 35.01°, I = 93; hkl 1 0 3, 2θ = 37.50°, I = 100; hkl 0 2 4, 2θ = 40.88°, I = 68; hkl 1 3 0, 2θ = 41.40°, I = 23; hkl 2 0 0, 2θ = 54.69°, I = 22; hkl 1 4 3, 2θ = 57.55°, I = 23; hkl 2 2 4, 2θ = 70.50°, I = 31; hkl 1 2 7, 2θ = 73.74°, I = 34

Structure:
```
data_HfNb5Ga2
_chemical_formula_sum 'Hf2 Nb10 Ga4'
_symmetry_space_group_name_H-M 'I m m m'
_symmetry_Int_Tables_number 71
_symmetry_space_group_name_Hall '-I 2 2'
_cell_length_a 3.3566
_cell_length_b 8.6062
_cell_length_c 10.2860
_cell_angle_alpha 90.00
_cell_angle_beta 90.00
_cell_angle_gamma 90.00
loop_
_atom_site_label
_atom_site_fract_x
_atom_site_fract_y
_atom_site_fract_z
Hf1 0.0000 0.0000 0.0000
Nb1 0.0000 0.1982 0.3551
Nb2 0.0000 0.5000 0.0000
Ga1 0.0000 0.5000 0.2782
```